This entry pairs a crystal structure of Na4CoO4 with its calculated PXRD pattern. Radiation: a wavelength of 1.5418 Å. Structure: a cell relaxed with PBE+U.

The 12 most intense peaks (5 to 70 degrees two-theta), in order of falling intensity:
- 2θ 32.85, I 100.0
- 2θ 39.10, I 56.0
- 2θ 38.06, I 51.7
- 2θ 17.05, I 47.4
- 2θ 24.17, I 47.1
- 2θ 40.46, I 47.0
- 2θ 36.43, I 40.9
- 2θ 19.08, I 32.0
- 2θ 55.08, I 27.1
- 2θ 23.04, I 25.8
- 2θ 20.78, I 24.3
- 2θ 40.62, I 20.0

Cell and atoms:
Lattice parameters (Å, degrees): 5.804 5.816 8.102 88.91 73.06 70.09
Element x y z (fractional)
Na 0.043 0.229 0.429
Na 0.212 0.243 0.015
Na 0.234 0.741 0.162
Na 0.420 0.283 0.623
Na 0.580 0.717 0.377
Na 0.766 0.259 0.838
Na 0.788 0.757 0.985
Na 0.957 0.771 0.571
Co 0.410 0.779 0.750
Co 0.590 0.221 0.250
O 0.172 0.002 0.673
O 0.234 0.604 0.882
O 0.308 0.473 0.371
O 0.429 0.025 0.205
O 0.571 0.975 0.795
O 0.692 0.527 0.629
O 0.766 0.396 0.118
O 0.828 0.998 0.327